# Mn2CuO4
Computed XRD peak list, copper Kα. Input: a crystal structure in Alexandria, relaxed with PBE+U.
Neutral-atom scattering factors, no anomalous dispersion.

Crystal structure
Cell: 6.0918 6.0918 5.8886 Å, 118.88 118.88 93.80°
Sites, in units of the cell vectors:
Mn  0.0000  0.0000  0.0000
Mn  0.0000  0.0000  0.5000
Mn  0.0000  0.5000  0.0000
Mn  0.5000  0.0000  0.5000
Cu  0.3752  0.6248  0.7500
Cu  0.6248  0.3752  0.2500
O  0.2174  0.2346  0.9758
O  0.2346  0.2174  0.4758
O  0.2421  0.7574  0.4757
O  0.2426  0.7579  0.0243
O  0.7574  0.2421  0.9757
O  0.7579  0.2426  0.5243
O  0.7654  0.7826  0.5242
O  0.7826  0.7654  0.0242

Top 10 peaks for 2θ = 10–80°, by intensity:
- 2θ = 35.5°, I = 100
- 2θ = 33.8°, I = 61
- 2θ = 61.0°, I = 49
- 2θ = 29.4°, I = 40
- 2θ = 57.4°, I = 31
- 2θ = 63.2°, I = 21
- 2θ = 30.4°, I = 19
- 2θ = 53.8°, I = 18
- 2θ = 43.5°, I = 14
- 2θ = 53.3°, I = 13